[1]
The following is a simulated X-ray powder pattern of ErTm. It was derived from a structure optimized by DFT (PBE), using Cu Kα (weighted mean of Kα1 and Kα2).
Lines closer than 0.1° are merged.

Most intense lines, 2θ from 10° to 80°, in order of rising 2θ:
2θ = 29.0°, I = 23.9; 2θ = 32.4°, I = 23.9; 2θ = 33.3°, I = 100.0; 2θ = 44.0°, I = 15.5; 2θ = 51.4°, I = 19.8; 2θ = 58.4°, I = 20.3; 2θ = 62.1°, I = 22.5; 2θ = 62.7°, I = 16.4; 2θ = 70.0°, I = 3.9; 2θ = 75.4°, I = 3.2

Structural model:
Lattice parameters (Å, degrees): 5.5241 7.1089 7.1089 120.00 90.00 90.00
Sites, in units of the cell vectors:
Er 0.2500 0.0832 0.9168
Er 0.2500 0.0838 0.4172
Er 0.7500 0.4172 0.0838
Er 0.7500 0.9168 0.0832
Tm 0.2500 0.5843 0.4180
Tm 0.2500 0.5843 0.9169
Tm 0.7500 0.4180 0.5843
Tm 0.7500 0.9169 0.5843

[2]
The following is a simulated X-ray powder pattern of YErTm2. It was derived from a structure optimized by DFT (PBE), using Cu Kα (weighted mean of Kα1 and Kα2).
Lines closer than 0.1° are merged.

Most intense lines, 2θ from 10° to 80°, in order of rising 2θ:
2θ = 14.3°, I = 4.6; 2θ = 28.8°, I = 24.0; 2θ = 32.2°, I = 23.8; 2θ = 33.0°, I = 100.0; 2θ = 43.7°, I = 15.6; 2θ = 50.9°, I = 20.5; 2θ = 57.9°, I = 20.1; 2θ = 61.5°, I = 22.3; 2θ = 62.1°, I = 16.3; 2θ = 69.3°, I = 4.1

Structural model:
Lattice parameters (Å, degrees): 5.5634 7.1702 7.1702 120.00 90.00 90.00
Sites, in units of the cell vectors:
Y 0.2500 0.0837 0.9163
Y 0.7500 0.9163 0.0837
Er 0.2500 0.5819 0.9163
Er 0.7500 0.9163 0.5819
Tm 0.2500 0.0834 0.4172
Tm 0.2500 0.5828 0.4159
Tm 0.7500 0.4159 0.5828
Tm 0.7500 0.4172 0.0834

[3]
The following is a simulated X-ray powder pattern of YErTm6. It was derived from a structure optimized by DFT (PBE), using Cu Kα (weighted mean of Kα1 and Kα2).
Lines closer than 0.1° are merged.

Most intense lines, 2θ from 10° to 80°, in order of rising 2θ:
2θ = 28.9°, I = 24.1; 2θ = 32.2°, I = 24.0; 2θ = 33.2°, I = 100.0; 2θ = 43.8°, I = 15.6; 2θ = 51.2°, I = 19.7; 2θ = 58.0°, I = 20.3; 2θ = 61.8°, I = 22.4; 2θ = 62.4°, I = 16.4; 2θ = 69.6°, I = 4.0; 2θ = 74.9°, I = 3.2

Structural model:
Lattice parameters (Å, degrees): 7.1387 7.1387 5.5571 90.00 90.00 120.00
Sites, in units of the cell vectors:
Y 0.0000 0.0000 0.0000
Er 0.6667 0.3333 0.5000
Tm 0.0008 0.5004 0.0000
Tm 0.1672 0.3344 0.5000
Tm 0.1672 0.8328 0.5000
Tm 0.4996 0.5004 0.0000
Tm 0.4996 0.9992 0.0000
Tm 0.6656 0.8328 0.5000